(1)
This entry pairs a crystal structure of DyNi5 with its theoretical powder diffraction line list. Radiation: Cu Kα. Structure: a PBE-relaxed structure.
Neutral-atom scattering factors, no anomalous dispersion.

Structure:
```
DyNi5
1.0
4.862 0.000 0.000
-2.431 4.210 0.000
0.000 0.000 3.952
Dy Ni
1 5
Direct
0.000 0.000 0.000 Dy
0.000 0.500 0.500 Ni
0.333 0.667 0.000 Ni
0.500 0.000 0.500 Ni
0.500 0.500 0.500 Ni
0.667 0.333 0.000 Ni
```

Principal peaks in the range 15° ≤ 2θ ≤ 90°, by intensity:
43.72 deg, rel. 100; 31.04 deg, rel. 52; 42.96 deg, rel. 35; 36.98 deg, rel. 32; 45.93 deg, rel. 27; 71.31 deg, rel. 22; 64.70 deg, rel. 20; 60.37 deg, rel. 15; 78.73 deg, rel. 15; 83.46 deg, rel. 14

---

(2)
This entry pairs a crystal structure of Te4Mo3WSe2S2 with its theoretical powder diffraction line list. Radiation: Cu Kα. Structure: a PBE-relaxed structure.
Neutral-atom scattering factors, no anomalous dispersion.

Structure:
```
Te4Mo3WSe2S2
1.0
3.399 0.000 0.000
-1.699 2.943 0.000
0.000 0.000 38.699
Te Mo W Se S
4 3 1 2 2
Direct
0.000 0.000 0.000 Te
0.000 0.000 0.097 Te
0.000 0.000 0.376 Te
0.000 0.000 0.473 Te
0.000 0.000 0.237 Mo
0.000 0.000 0.861 Mo
0.333 0.667 0.424 Mo
0.333 0.667 0.049 W
0.333 0.667 0.818 Se
0.333 0.667 0.903 Se
0.333 0.667 0.198 S
0.333 0.667 0.275 S
```

Principal peaks in the range 15° ≤ 2θ ≤ 90°, by intensity:
35.71 deg, rel. 100; 30.39 deg, rel. 55; 43.23 deg, rel. 55; 53.97 deg, rel. 36; 44.99 deg, rel. 17; 38.42 deg, rel. 17; 76.21 deg, rel. 16; 66.40 deg, rel. 16; 32.55 deg, rel. 14; 39.94 deg, rel. 14

---

(3)
This entry pairs a crystal structure of Pr2MgPd2 with its theoretical powder diffraction line list. Radiation: Cu Kα. Structure: a PBE-relaxed structure.
Neutral-atom scattering factors, no anomalous dispersion.

Structure:
```
Pr2MgPd2
1.0
7.798 0.000 0.000
0.000 7.798 0.000
0.000 0.000 4.062
Pr Mg Pd
4 2 4
Direct
0.173 0.327 0.000 Pr
0.327 0.827 0.000 Pr
0.673 0.173 0.000 Pr
0.827 0.673 0.000 Pr
0.000 0.000 0.500 Mg
0.500 0.500 0.500 Mg
0.129 0.629 0.500 Pd
0.371 0.129 0.500 Pd
0.629 0.871 0.500 Pd
0.871 0.371 0.500 Pd
```

Principal peaks in the range 15° ≤ 2θ ≤ 90°, by intensity:
33.88 deg, rel. 100; 36.43 deg, rel. 23; 16.07 deg, rel. 22; 68.86 deg, rel. 18; 31.81 deg, rel. 14; 53.44 deg, rel. 13; 44.61 deg, rel. 12; 22.81 deg, rel. 11; 58.91 deg, rel. 11; 75.29 deg, rel. 10

---

(4)
This entry pairs a crystal structure of Ac2NiIr with its theoretical powder diffraction line list. Radiation: Cu Kα. Structure: a PBE-relaxed structure.
Neutral-atom scattering factors, no anomalous dispersion.

Structure:
```
Ac2NiIr
1.0
0.000 3.696 3.696
3.696 0.000 3.696
3.696 3.696 0.000
Ac Ni Ir
2 1 1
Direct
0.250 0.250 0.250 Ac
0.750 0.750 0.750 Ac
0.000 0.000 0.000 Ni
0.500 0.500 0.500 Ir
```

Principal peaks in the range 15° ≤ 2θ ≤ 90°, by intensity:
34.31 deg, rel. 100; 61.45 deg, rel. 38; 49.31 deg, rel. 18; 82.54 deg, rel. 17; 72.31 deg, rel. 12; 24.08 deg, rel. 9; 20.81 deg, rel. 7; 40.47 deg, rel. 4; 55.60 deg, rel. 4; 42.36 deg, rel. 3

---

(5)
This entry pairs a crystal structure of Li2CuP4O12 with its theoretical powder diffraction line list. Radiation: Cu Kα. Structure: a PBE-relaxed structure.
Neutral-atom scattering factors, no anomalous dispersion.

Structure:
```
Li2CuP4O12
1.0
4.648 0.000 0.000
0.393 9.335 0.000
0.498 -0.003 9.338
Li Cu P O
4 2 8 24
Direct
0.000 0.000 0.000 Li
0.000 0.492 0.999 Li
0.003 0.498 0.498 Li
0.997 0.995 0.496 Li
0.001 0.256 0.730 Cu
0.006 0.725 0.251 Cu
0.496 0.242 0.470 P
0.496 0.752 0.975 P
0.496 0.973 0.753 P
0.499 0.467 0.246 P
0.502 0.021 0.247 P
0.505 0.243 0.025 P
0.507 0.524 0.754 P
0.507 0.751 0.527 P
0.251 0.322 0.554 O
0.253 0.055 0.683 O
0.253 0.550 0.325 O
0.253 0.679 0.058 O
0.258 0.823 0.459 O
0.259 0.454 0.828 O
0.262 0.952 0.178 O
0.263 0.174 0.958 O
0.337 0.862 0.865 O
0.343 0.136 0.364 O
0.350 0.362 0.138 O
0.372 0.632 0.635 O
0.643 0.359 0.362 O
0.651 0.632 0.863 O
0.651 0.861 0.634 O
0.661 0.132 0.135 O
0.737 0.041 0.822 O
0.738 0.820 0.043 O
0.740 0.168 0.541 O
0.742 0.943 0.320 O
0.745 0.540 0.172 O
0.746 0.316 0.943 O
0.756 0.440 0.677 O
0.756 0.676 0.441 O
```

Principal peaks in the range 15° ≤ 2θ ≤ 90°, by intensity:
32.21 deg, rel. 100; 27.01 deg, rel. 92; 19.14 deg, rel. 88; 33.18 deg, rel. 82; 22.68 deg, rel. 81; 33.44 deg, rel. 79; 34.40 deg, rel. 70; 23.35 deg, rel. 68; 23.53 deg, rel. 66; 24.19 deg, rel. 58

---

(6)
This entry pairs a crystal structure of La2I2O with its theoretical powder diffraction line list. Radiation: Cu Kα. Structure: a PBE-relaxed structure.
Neutral-atom scattering factors, no anomalous dispersion.

Structure:
```
La2I2O
1.0
4.528 0.000 0.000
0.000 4.528 0.000
0.000 0.000 15.141
La I O
2 2 1
Direct
0.000 0.000 0.139 La
0.000 0.000 0.861 La
0.000 0.000 0.336 I
0.000 0.000 0.664 I
0.000 0.000 0.000 O
```

Principal peaks in the range 15° ≤ 2θ ≤ 90°, by intensity:
19.61 deg, rel. 100; 27.87 deg, rel. 42; 30.79 deg, rel. 32; 44.75 deg, rel. 23; 40.96 deg, rel. 20; 36.77 deg, rel. 20; 39.82 deg, rel. 16; 23.50 deg, rel. 16; 51.16 deg, rel. 15; 58.45 deg, rel. 14

---

(7)
This entry pairs a crystal structure of NdDy3 with its theoretical powder diffraction line list. Radiation: Cu Kα. Structure: a PBE-relaxed structure.
Neutral-atom scattering factors, no anomalous dispersion.

Structure:
```
NdDy3
1.0
5.065 0.000 0.000
0.000 5.065 0.000
0.000 0.000 5.065
Nd Dy
1 3
Direct
0.000 0.000 0.000 Nd
0.000 0.500 0.500 Dy
0.500 0.000 0.500 Dy
0.500 0.500 0.000 Dy
```

Principal peaks in the range 15° ≤ 2θ ≤ 90°, by intensity:
30.57 deg, rel. 100; 35.45 deg, rel. 51; 60.64 deg, rel. 43; 51.00 deg, rel. 36; 83.13 deg, rel. 18; 85.79 deg, rel. 17; 63.64 deg, rel. 12; 75.01 deg, rel. 6

---

(8)
This entry pairs a crystal structure of Sm12Os5C15 with its theoretical powder diffraction line list. Radiation: Cu Kα. Structure: a PBE-relaxed structure.
Neutral-atom scattering factors, no anomalous dispersion.

Structure:
```
Sm12Os5C15
1.0
10.881 0.000 0.000
-5.441 9.424 0.000
0.000 0.000 5.252
Sm Os C
12 5 15
Direct
0.000 0.430 0.000 Sm
0.000 0.794 0.000 Sm
0.184 0.726 0.500 Sm
0.206 0.206 0.000 Sm
0.274 0.457 0.500 Sm
0.430 0.000 0.000 Sm
0.457 0.274 0.500 Sm
0.543 0.816 0.500 Sm
0.570 0.570 0.000 Sm
0.726 0.184 0.500 Sm
0.794 0.000 0.000 Sm
0.816 0.543 0.500 Sm
0.000 0.161 0.500 Os
0.161 0.000 0.500 Os
0.333 0.667 0.000 Os
0.667 0.333 0.000 Os
0.839 0.839 0.500 Os
0.000 0.334 0.500 C
0.000 0.456 0.500 C
0.000 0.796 0.500 C
0.185 0.714 0.000 C
0.204 0.204 0.500 C
0.286 0.472 0.000 C
0.334 0.000 0.500 C
0.456 0.000 0.500 C
0.472 0.286 0.000 C
0.528 0.815 0.000 C
0.544 0.544 0.500 C
0.666 0.666 0.500 C
0.714 0.185 0.000 C
0.796 0.000 0.500 C
0.815 0.528 0.000 C
```

Principal peaks in the range 15° ≤ 2θ ≤ 90°, by intensity:
30.32 deg, rel. 100; 34.31 deg, rel. 40; 34.15 deg, rel. 39; 49.19 deg, rel. 29; 33.23 deg, rel. 23; 58.78 deg, rel. 19; 37.22 deg, rel. 18; 38.47 deg, rel. 9; 60.51 deg, rel. 9; 19.35 deg, rel. 9